Record 1
The following is a calculated powder diffraction line list of GdAlInPd. It was derived from a PBE-relaxed structure, using Cu Kα X-rays.

Unit cell a=4.466 b=10.458 c=7.152 alpha=90.00 beta=90.00 gamma=90.00
Positions (direct):
Gd 0.000 0.077 0.000
Gd 0.000 0.923 0.500
Gd 0.500 0.423 0.500
Gd 0.500 0.577 0.000
Al 0.000 0.350 0.792
Al 0.000 0.650 0.292
Al 0.500 0.150 0.292
Al 0.500 0.850 0.792
In 0.000 0.375 0.188
In 0.000 0.625 0.688
In 0.500 0.125 0.688
In 0.500 0.875 0.188
Pd 0.000 0.208 0.484
Pd 0.000 0.792 0.984
Pd 0.500 0.292 0.984
Pd 0.500 0.708 0.484

Main lines, in order of rising 2θ (2θ = 10–80°):
d = 3.576 Å, 2θ 24.9, I 21
d = 2.697 Å, 2θ 33.2, I 94
d = 2.565 Å, 2θ 35.0, I 100
d = 2.456 Å, 2θ 36.6, I 36
d = 2.233 Å, 2θ 40.4, I 38
d = 1.652 Å, 2θ 55.6, I 21



Record 2
The following is a calculated powder diffraction line list of LaGdAlIr2. It was derived from a PBE-relaxed structure, using Cu Kα X-rays.

Unit cell a=4.170 b=5.890 c=8.806 alpha=90.00 beta=90.00 gamma=90.00
Positions (direct):
La 0.000 0.000 0.000
La 0.500 0.500 0.500
Gd 0.000 0.000 0.397
Gd 0.500 0.500 0.897
Al 0.000 0.500 0.199
Al 0.500 0.000 0.699
Ir 0.000 0.257 0.700
Ir 0.000 0.743 0.700
Ir 0.500 0.243 0.200
Ir 0.500 0.757 0.200

Main lines, in order of rising 2θ (2θ = 10–80°):
d = 3.769 Å, 2θ 23.6, I 48
d = 2.693 Å, 2θ 33.3, I 47
d = 2.448 Å, 2θ 36.7, I 80
d = 2.400 Å, 2θ 37.5, I 78
d = 2.321 Å, 2θ 38.8, I 100
d = 1.587 Å, 2θ 58.1, I 43



Record 3
The following is a calculated powder diffraction line list of Gd2AlNiIr. It was derived from a PBE-relaxed structure, using Cu Kα X-rays.

Unit cell a=4.172 b=8.588 c=5.597 alpha=90.00 beta=90.00 gamma=90.00
Positions (direct):
Gd 0.000 0.200 0.000
Gd 0.000 0.800 0.000
Gd 0.500 0.300 0.500
Gd 0.500 0.700 0.500
Al 0.000 0.000 0.498
Al 0.500 0.500 0.998
Ni 0.000 0.500 0.746
Ni 0.500 0.000 0.246
Ir 0.000 0.500 0.271
Ir 0.500 0.000 0.771

Main lines, in order of rising 2θ (2θ = 10–80°):
d = 4.689 Å, 2θ 18.9, I 46
d = 3.345 Å, 2θ 26.7, I 70
d = 2.639 Å, 2θ 34.0, I 100
d = 2.360 Å, 2θ 38.1, I 78
d = 2.345 Å, 2θ 38.4, I 75
d = 2.243 Å, 2θ 40.2, I 82



Record 4
The following is a calculated powder diffraction line list of LaGdAl6. It was derived from a PBE-relaxed structure, using Cu Kα X-rays.

Unit cell a=6.538 b=6.538 c=4.581 alpha=90.00 beta=90.00 gamma=120.00
Positions (direct):
La 0.000 0.000 0.000
Gd 0.333 0.667 0.500
Al 0.386 0.193 0.500
Al 0.523 0.046 0.000
Al 0.523 0.477 0.000
Al 0.807 0.193 0.500
Al 0.807 0.614 0.500
Al 0.954 0.477 0.000

Main lines, in order of rising 2θ (2θ = 10–80°):
d = 5.662 Å, 2θ 15.7, I 22
d = 3.561 Å, 2θ 25.0, I 96
d = 3.269 Å, 2θ 27.3, I 49
d = 2.831 Å, 2θ 31.6, I 26
d = 2.408 Å, 2θ 37.3, I 100
d = 1.939 Å, 2θ 46.9, I 24



Question: Number 2 is which compound?
Answer: LaGdAlIr2